(1)
This entry pairs a crystal structure of Pm8Sn6Pb with its computed powder diffraction line list. Radiation: a wavelength of 1.5418 Å. Structure: a DFT-relaxed cell (PBE, Alexandria).
Intensities are scaled so that the largest is 100.

Atomic structure:
```
Pm8Sn6Pb
1.0
4.7240 2.7274 6.3848
-4.7240 2.7274 6.3848
0.0000 -5.4549 6.3848
Pm Sn Pb
8 6 1
Direct
0.1288 0.6842 0.3936
0.1683 0.1683 0.1683
0.3158 0.6064 0.8712
0.3936 0.1288 0.6842
0.6064 0.8712 0.3158
0.6842 0.3936 0.1288
0.8317 0.8317 0.8317
0.8712 0.3158 0.6064
0.0561 0.4332 0.7978
0.2022 0.9439 0.5668
0.4332 0.7978 0.0561
0.5668 0.2022 0.9439
0.7978 0.0561 0.4332
0.9439 0.5668 0.2022
0.5000 0.5000 0.5000
```

Peak list (10 most intense, 2θ = 10–90°, by angle)
2θ/deg  I (rel.)
13.87  15
23.43  42
27.95  14
29.25  16
30.37  25
32.84  94
33.89  100
34.53  14
47.91  28
59.30  17

---

(2)
This entry pairs a crystal structure of LiMgICl2 with its computed powder diffraction line list. Radiation: a wavelength of 1.5418 Å. Structure: a DFT-relaxed cell (PBE, Alexandria).
Intensities are scaled so that the largest is 100.

Atomic structure:
```
LiMgICl2
1.0
4.4879 0.0000 0.0000
0.0000 4.4879 0.0000
0.0000 0.0000 6.6227
Li Mg I Cl
1 1 1 2
Direct
0.0000 0.0000 0.0000
0.0000 0.0000 0.5000
0.5000 0.5000 0.5000
0.0000 0.5000 0.0000
0.5000 0.0000 0.0000
```

Peak list (10 most intense, 2θ = 10–90°, by angle)
2θ/deg  I (rel.)
13.37  18
19.78  29
23.95  45
26.93  41
31.25  100
33.64  15
40.19  27
49.04  29
50.35  24
67.50  19